# 1
Structure and simulated powder X-ray diffraction pattern of Sr2TcAg2O6 (a cell relaxed with GGA-PBE; Cu Kα).
No peak broadening, texture or thermal motion is included.

Main lines, most intense first (2θ = 15–90°):
2θ/deg	I_rel
30.85	100
17.05	63
30.08	55
28.08	53
33.91	47
36.38	36

Cell and atoms:
```
data_Sr2TcAg2O6
_space_group_name_H-M_alt 'P 1'
_space_group_IT_number 1
_cell_length_a 6.177
_cell_length_b 6.177
_cell_length_c 6.525
_cell_angle_alpha 96.43
_cell_angle_beta 96.43
_cell_angle_gamma 120.81
loop_
_space_group_symop_operation_xyz
'x,y,z'
loop_
_atom_site_label
_atom_site_fract_x
_atom_site_fract_y
_atom_site_fract_z
Sr1 0.167 0.833 0.000
Sr2 0.833 0.167 0.000
Tc1 0.500 0.500 0.000
Ag1 0.363 0.637 0.500
Ag2 0.637 0.363 0.500
O1 0.206 0.206 0.845
O2 0.270 0.548 0.173
O3 0.452 0.730 0.827
O4 0.548 0.270 0.173
O5 0.730 0.452 0.827
O6 0.794 0.794 0.155
```


# 2
Structure and simulated powder X-ray diffraction pattern of SrAg2TeO4 (a cell relaxed with GGA-PBE; Cu Kα).
No peak broadening, texture or thermal motion is included.

Main lines, most intense first (2θ = 15–90°):
2θ/deg	I_rel
30.11	100
31.43	90
31.96	65
32.74	64
46.41	41
41.67	34

Cell and atoms:
```
data_SrAg2TeO4
_space_group_name_H-M_alt 'P 1'
_space_group_IT_number 1
_cell_length_a 7.087
_cell_length_b 7.087
_cell_length_c 6.789
_cell_angle_alpha 111.28
_cell_angle_beta 111.28
_cell_angle_gamma 104.42
loop_
_space_group_symop_operation_xyz
'x,y,z'
loop_
_atom_site_label
_atom_site_fract_x
_atom_site_fract_y
_atom_site_fract_z
Sr1 0.000 0.500 0.000
Sr2 0.500 0.000 0.500
Ag1 0.000 0.000 0.000
Ag2 0.000 0.000 0.500
Ag3 0.000 0.500 0.500
Ag4 0.500 0.000 0.000
Te1 0.500 0.500 0.000
Te2 0.500 0.500 0.500
O1 0.267 0.300 0.083
O2 0.276 0.657 0.464
O3 0.300 0.267 0.583
O4 0.343 0.724 0.036
O5 0.657 0.276 0.964
O6 0.700 0.733 0.417
O7 0.724 0.343 0.536
O8 0.733 0.700 0.917
```


# 3
Structure and simulated powder X-ray diffraction pattern of SrUAgO5 (a cell relaxed with GGA-PBE; Cu Kα).
No peak broadening, texture or thermal motion is included.

Main lines, most intense first (2θ = 15–90°):
2θ/deg	I_rel
24.09	100
29.66	82
29.12	68
28.72	61
16.64	48
42.26	42

Cell and atoms:
```
data_SrUAgO5
_space_group_name_H-M_alt 'P 1'
_space_group_IT_number 1
_cell_length_a 6.150
_cell_length_b 6.150
_cell_length_c 8.188
_cell_angle_alpha 101.43
_cell_angle_beta 101.43
_cell_angle_gamma 114.23
loop_
_space_group_symop_operation_xyz
'x,y,z'
loop_
_atom_site_label
_atom_site_fract_x
_atom_site_fract_y
_atom_site_fract_z
Sr1 0.187 0.813 0.750
Sr2 0.813 0.187 0.250
U1 0.500 0.500 0.000
U2 0.500 0.500 0.500
Ag1 0.170 0.830 0.250
Ag2 0.830 0.170 0.750
O1 0.163 0.196 0.924
O2 0.196 0.163 0.424
O3 0.244 0.630 0.429
O4 0.370 0.756 0.071
O5 0.432 0.568 0.750
O6 0.568 0.432 0.250
O7 0.630 0.244 0.929
O8 0.756 0.370 0.571
O9 0.804 0.837 0.576
O10 0.837 0.804 0.076
```